Diffraction record for Tb3Ga2Ir2. The powder X-ray diffraction pattern is theoretical, not measured: it uses a DFT-relaxed cell (PBE, Alexandria) and a wavelength of 1.5418 Å.
No peak broadening, texture or thermal motion is included.

Cell and atoms:
Cell lengths 5.5798, 7.8356, 13.7336 Å; angles 90.00, 90.00, 90.00 degrees
Atoms (fractional coordinates):
Tb  0.1220  0.2355  0.2500
Tb  0.1220  0.2645  0.7500
Tb  0.3494  0.6005  0.0982
Tb  0.3494  0.6005  0.4018
Tb  0.3494  0.8995  0.5982
Tb  0.3494  0.8995  0.9018
Tb  0.6506  0.1005  0.0982
Tb  0.6506  0.1005  0.4018
Tb  0.6506  0.3995  0.5982
Tb  0.6506  0.3995  0.9018
Tb  0.8780  0.7355  0.2500
Tb  0.8780  0.7645  0.7500
Ga  0.1352  0.2500  0.0000
Ga  0.1352  0.2500  0.5000
Ga  0.3801  0.6085  0.7500
Ga  0.3801  0.8915  0.2500
Ga  0.6199  0.1085  0.7500
Ga  0.6199  0.3915  0.2500
Ga  0.8648  0.7500  0.0000
Ga  0.8648  0.7500  0.5000
Ir  0.1493  0.5353  0.5933
Ir  0.1493  0.5353  0.9067
Ir  0.1493  0.9647  0.0933
Ir  0.1493  0.9647  0.4067
Ir  0.8507  0.0353  0.5933
Ir  0.8507  0.0353  0.9067
Ir  0.8507  0.4647  0.0933
Ir  0.8507  0.4647  0.4067

Main lines, sorted by position (10° ≤ 2θ ≤ 80°):
2θ (°)	I_rel	(hkl)
32.69	38	1 1 4
34.13	71	2 1 0
34.74	84	0 2 4
38.04	58	1 3 0
39.36	40	0 0 6
39.54	100	2 1 3
43.04	28	1 3 3
55.89	22	1 3 6